For BaHg3Pt3, a GGA-PBE-relaxed structure gives the calculated powder XRD pattern in this record (CuKα).
Peak positions follow from Bragg's law for the DFT cell and can differ from measured ones.

Principal peaks in the range 2θ = 5–70°, by angle:
| 2theta | I_rel |
| --- | --- |
| 16.69 | 45 |
| 23.69 | 42 |
| 29.12 | 100 |
| 41.65 | 51 |
| 45.16 | 61 |
| 48.48 | 39 |

```
14
Lattice="7.512 0.000 0.000 0.000 7.512 0.000 0.000 0.000 7.512" Properties=species:S:1:pos:R:3 pbc="T T T"
Ba 0.000 0.000 0.000
Ba 3.756 3.756 3.756
Hg 0.000 1.878 3.756
Hg 0.000 5.634 3.756
Hg 1.878 3.756 0.000
Hg 3.756 0.000 1.878
Hg 3.756 0.000 5.634
Hg 5.634 3.756 0.000
Pt 0.000 3.756 1.878
Pt 0.000 3.756 5.634
Pt 1.878 0.000 3.756
Pt 3.756 1.878 0.000
Pt 3.756 5.634 0.000
Pt 5.634 0.000 3.756
```

***

For Ba4HgPt2, a GGA-PBE-relaxed structure gives the calculated powder XRD pattern in this record (CuKα).
Peak positions follow from Bragg's law for the DFT cell and can differ from measured ones.

Principal peaks in the range 2θ = 5–70°, by angle:
| 2theta | I_rel |
| --- | --- |
| 21.53 | 46 |
| 25.65 | 100 |
| 27.23 | 58 |
| 27.41 | 58 |
| 31.30 | 72 |
| 38.72 | 85 |

```
28
Lattice="14.201 0.000 0.000 0.000 4.647 0.000 0.000 0.000 16.866" Properties=species:S:1:pos:R:3 pbc="T T T"
Ba 0.346 1.162 3.588
Ba 1.204 3.485 7.175
Ba 1.740 1.162 16.390
Ba 2.921 1.162 11.134
Ba 4.179 3.485 2.700
Ba 5.361 3.485 7.957
Ba 5.896 1.162 15.609
Ba 6.755 3.485 12.021
Ba 7.447 1.162 4.845
Ba 8.305 3.485 1.258
Ba 8.840 1.162 8.909
Ba 10.022 1.162 14.166
Ba 11.280 3.485 5.733
Ba 12.462 3.485 0.476
Ba 12.997 1.162 9.691
Ba 13.855 3.485 13.278
Hg 3.431 3.485 14.031
Hg 3.669 1.162 5.598
Hg 10.532 3.485 11.268
Hg 10.770 1.162 2.835
Pt 0.883 3.485 10.331
Pt 1.180 3.485 1.636
Pt 5.921 1.162 10.069
Pt 6.217 1.162 1.898
Pt 7.984 3.485 14.968
Pt 8.281 3.485 6.797
Pt 13.021 1.162 15.230
Pt 13.318 1.162 6.535
```

***

For RbBaHg12, a GGA-PBE-relaxed structure gives the calculated powder XRD pattern in this record (CuKα).
Peak positions follow from Bragg's law for the DFT cell and can differ from measured ones.

Principal peaks in the range 2θ = 5–70°, by angle:
| 2theta | I_rel |
| --- | --- |
| 12.14 | 52 |
| 12.65 | 100 |
| 21.71 | 53 |
| 31.11 | 38 |
| 37.89 | 69 |
| 38.43 | 36 |

```
14
Lattice="6.996 0.000 0.000 0.000 6.996 0.000 0.000 0.000 14.584" Properties=species:S:1:pos:R:3 pbc="T T T"
Rb 0.000 0.000 0.000
Ba 0.000 0.000 7.292
Hg 1.374 3.498 3.707
Hg 1.374 3.498 10.878
Hg 3.498 1.374 3.707
Hg 3.498 1.374 10.878
Hg 3.498 3.498 1.409
Hg 3.498 3.498 5.925
Hg 3.498 3.498 8.660
Hg 3.498 3.498 13.175
Hg 3.498 5.622 3.707
Hg 3.498 5.622 10.878
Hg 5.622 3.498 3.707
Hg 5.622 3.498 10.878
```

***

For RbBaHg4, a GGA-PBE-relaxed structure gives the calculated powder XRD pattern in this record (CuKα).
Peak positions follow from Bragg's law for the DFT cell and can differ from measured ones.

Principal peaks in the range 2θ = 5–70°, by angle:
| 2theta | I_rel |
| --- | --- |
| 20.36 | 31 |
| 28.22 | 100 |
| 33.74 | 29 |
| 33.85 | 56 |
| 39.83 | 24 |
| 54.48 | 44 |

```
6
Lattice="4.362 0.000 0.000 0.000 5.314 0.000 0.000 0.000 9.162" Properties=species:S:1:pos:R:3 pbc="T T T"
Rb 0.000 0.000 0.000
Ba 0.000 2.657 4.581
Hg 2.181 0.000 3.075
Hg 2.181 0.000 6.087
Hg 2.181 2.657 1.536
Hg 2.181 2.657 7.626
```

***

For RbBaHgS2, a GGA-PBE-relaxed structure gives the calculated powder XRD pattern in this record (CuKα).
Peak positions follow from Bragg's law for the DFT cell and can differ from measured ones.

Principal peaks in the range 2θ = 5–70°, by angle:
| 2theta | I_rel |
| --- | --- |
| 11.64 | 55 |
| 21.59 | 56 |
| 23.39 | 95 |
| 27.71 | 100 |
| 31.32 | 79 |
| 36.74 | 76 |

```
10
Lattice="7.782 0.000 0.000 0.000 5.167 0.000 -1.854 0.000 8.544" Properties=species:S:1:pos:R:3 pbc="T T T"
Rb -0.463 0.104 2.136
Rb -1.390 5.063 6.408
Ba 2.501 1.548 6.408
Ba 3.428 3.618 2.136
Hg 0.000 2.583 0.000
Hg -0.927 2.583 4.272
S 2.291 1.109 0.320
S 1.364 4.058 4.592
S 4.564 1.109 3.952
S 3.637 4.058 8.223
```

***

For Ba2ReHg2, a GGA-PBE-relaxed structure gives the calculated powder XRD pattern in this record (CuKα).
Peak positions follow from Bragg's law for the DFT cell and can differ from measured ones.

Principal peaks in the range 2θ = 5–70°, by angle:
| 2theta | I_rel |
| --- | --- |
| 16.33 | 24 |
| 31.19 | 100 |
| 33.00 | 32 |
| 37.67 | 34 |
| 50.93 | 28 |
| 57.80 | 18 |

```
10
Lattice="7.552 0.000 0.000 0.000 7.552 0.000 0.000 0.000 5.429" Properties=species:S:1:pos:R:3 pbc="T T T"
Ba 1.353 2.423 0.000
Ba 2.423 6.199 0.000
Ba 5.129 1.353 0.000
Ba 6.199 5.129 0.000
Re 0.000 0.000 2.714
Re 3.776 3.776 2.714
Hg 1.117 4.893 2.714
Hg 2.659 1.117 2.714
Hg 4.893 6.435 2.714
Hg 6.435 2.659 2.714
```

***

For Ba14Hg6Rh3, a GGA-PBE-relaxed structure gives the calculated powder XRD pattern in this record (CuKα).
Peak positions follow from Bragg's law for the DFT cell and can differ from measured ones.

Principal peaks in the range 2θ = 5–70°, by angle:
| 2theta | I_rel |
| --- | --- |
| 24.97 | 49 |
| 25.19 | 100 |
| 27.86 | 90 |
| 28.97 | 45 |
| 29.19 | 51 |
| 32.63 | 50 |

```
23
Lattice="7.521 0.000 0.000 -0.031 12.233 0.000 -0.093 -6.085 10.684" Properties=species:S:1:pos:R:3 pbc="T T T"
Ba 0.000 0.000 0.000
Ba -0.040 2.221 4.041
Ba 0.684 -2.936 7.984
Ba 1.615 1.086 8.861
Ba 1.636 5.545 6.841
Ba 1.790 6.082 2.302
Ba 3.384 10.036 1.460
Ba 3.415 -0.033 5.133
Ba 3.639 2.239 1.372
Ba 4.459 -3.039 7.977
Ba 5.402 5.912 0.006
Ba 5.502 6.512 4.824
Ba 5.498 3.436 7.832
Ba 7.340 -1.933 3.883
Hg 0.214 3.437 0.721
Hg 2.691 8.593 4.909
Hg 3.499 3.518 4.683
Hg 3.958 6.086 9.399
Hg 6.448 -0.057 6.946
Hg 7.277 8.769 0.685
Rh 1.707 0.108 2.687
Rh 2.477 -1.449 10.297
Rh 6.271 6.473 7.756
```

***

For Ba8HgRh3, a GGA-PBE-relaxed structure gives the calculated powder XRD pattern in this record (CuKα).
Peak positions follow from Bragg's law for the DFT cell and can differ from measured ones.

Principal peaks in the range 2θ = 5–70°, by angle:
| 2theta | I_rel |
| --- | --- |
| 12.33 | 37 |
| 23.42 | 19 |
| 27.52 | 100 |
| 38.41 | 39 |
| 40.21 | 34 |
| 47.90 | 20 |

```
12
Lattice="7.676 -4.687 0.000 7.676 4.687 0.000 -4.793 0.000 7.591" Properties=species:S:1:pos:R:3 pbc="T T T"
Ba 3.919 2.527 5.637
Ba 0.293 0.000 5.453
Ba 6.640 2.527 1.954
Ba 2.529 0.000 1.937
Ba 8.030 0.000 5.654
Ba 3.919 -2.527 5.637
Ba 10.266 0.000 2.138
Ba 6.640 -2.527 1.954
Hg 7.676 0.000 0.000
Rh 0.000 0.000 0.000
Rh 1.441 2.344 3.795
Rh 1.441 -2.344 3.795
```